AcLaSm2Y: computed X-ray powder pattern (Cu Kα), based on a structure optimized by DFT (GGA-PBE).
No peak broadening, texture or thermal motion is included.

Largest 10 diffraction maxima, sorted by position, 2θ from 10° to 80°:
| h k l | 2θ/deg | Rel. int. |
| --- | --- | --- |
| 1 0 2 | 27.37 | 24 |
| 0 2 0 | 29.92 | 38 |
| 1 1 -3 | 31.27 | 100 |
| 2 1 -1 | 31.34 | 51 |
| 1 2 2 | 41.01 | 24 |
| 0 0 5 | 48.37 | 20 |
| 2 3 -1 | 53.98 | 33 |
| 0 2 5 | 57.89 | 12 |
| 3 2 1 | 57.96 | 12 |
| 2 1 -6 | 58.87 | 16 |

Crystal structure
Cell lengths 6.4983, 5.9733, 9.9512 Å; angles 90.00, 108.88, 90.00 degrees
Element x y z (fractional)
Ac  0.2328  0.2500  0.3019
Ac  0.7672  0.7500  0.6981
La  0.0451  0.2500  0.9013
La  0.9549  0.7500  0.0987
Sm  0.3669  0.7500  0.9027
Sm  0.4297  0.2500  0.7008
Sm  0.5703  0.7500  0.2992
Sm  0.6331  0.2500  0.0973
Y  0.1652  0.7500  0.5023
Y  0.8348  0.2500  0.4977

AuSI3: computed X-ray powder pattern (Cu Kα), based on a structure optimized by DFT (GGA-PBE).
No peak broadening, texture or thermal motion is included.

Largest 10 diffraction maxima, sorted by position, 2θ from 10° to 80°:
| h k l | 2θ/deg | Rel. int. |
| --- | --- | --- |
| 0 1 0 | 11.56 | 18 |
| 0 0 1 | 12.39 | 21 |
| 1 0 0 | 13.66 | 30 |
| -1 1 1 | 19.43 | 100 |
| 1 2 -1 | 24.92 | 13 |
| 1 -1 2 | 30.16 | 14 |
| 1 -2 2 | 31.19 | 14 |
| 2 2 -2 | 33.07 | 15 |
| -2 2 2 | 39.45 | 16 |
| 3 1 -3 | 41.54 | 15 |

Crystal structure
Cell lengths 7.2731, 8.6331, 8.7635 Å; angles 113.86, 112.96, 92.80 degrees
Element x y z (fractional)
Au  0.0000  0.0000  0.0000
Au  0.0092  0.2771  0.7284
S  0.1461  0.6950  0.4368
S  0.8671  0.5730  0.2834
I  0.2508  0.9577  0.2914
I  0.2779  0.5242  0.7471
I  0.2838  0.2468  0.0278
I  0.7251  0.0309  0.7010
I  0.7318  0.7520  0.9805
I  0.7588  0.3188  0.4363